Record 1
Ho3ErSb2C: simulated powder diffractogram (a wavelength of 1.5418 Å), based on a crystal structure in Alexandria, relaxed with PBE.
Intensities are scaled so that the largest is 100.

Top 8 peaks for 10 to 90 degrees two-theta, low angle first:
2theta, d/Å, I (rel.)
28.9, 3.088, 71
34.3, 2.612, 32
35.2, 2.551, 100
37.8, 2.381, 29
37.9, 2.372, 29
52.0, 1.759, 20
54.6, 1.680, 20
65.8, 1.420, 19

Cell lengths 8.524, 8.524, 8.524 Å; angles 147.69, 147.56, 46.44 degrees
Atoms (fractional coordinates):
Ho (0.000, 0.000, 0.000)
Ho (0.343, 0.843, 0.500)
Ho (0.657, 0.157, 0.500)
Er (0.500, 0.500, 0.000)
Sb (0.142, 0.642, 0.500)
Sb (0.858, 0.358, 0.500)
C (0.500, 0.000, 0.500)



Record 2
Rb3LiAg2I6: simulated powder diffractogram (a wavelength of 1.5418 Å), based on a crystal structure in Alexandria, relaxed with PBE.
Intensities are scaled so that the largest is 100.

Top 8 peaks for 10 to 90 degrees two-theta, low angle first:
2theta, d/Å, I (rel.)
14.9, 5.926, 72
18.8, 4.711, 59
23.3, 3.811, 39
25.2, 3.533, 100
30.2, 2.963, 90
32.5, 2.755, 43
41.0, 2.200, 56
45.5, 1.994, 32

Cell lengths 8.802, 8.802, 9.422 Å; angles 90.00, 90.00, 120.00 degrees
Atoms (fractional coordinates):
Rb (0.000, 0.000, 0.000)
Rb (0.333, 0.667, 0.638)
Rb (0.667, 0.333, 0.362)
Li (0.000, 0.000, 0.500)
Ag (0.333, 0.667, 0.264)
Ag (0.667, 0.333, 0.736)
I (0.155, 0.310, 0.298)
I (0.155, 0.845, 0.298)
I (0.310, 0.155, 0.702)
I (0.690, 0.845, 0.298)
I (0.845, 0.155, 0.702)
I (0.845, 0.690, 0.702)



Record 3
HfGaCu5: simulated powder diffractogram (a wavelength of 1.5418 Å), based on a crystal structure in Alexandria, relaxed with PBE.
Intensities are scaled so that the largest is 100.

Top 8 peaks for 10 to 90 degrees two-theta, low angle first:
2theta, d/Å, I (rel.)
36.9, 2.438, 35
37.5, 2.398, 61
39.9, 2.261, 87
40.1, 2.249, 100
41.1, 2.194, 28
43.7, 2.071, 28
44.7, 2.029, 27
47.5, 1.914, 30

Cell lengths 7.855, 4.876, 10.074 Å; angles 90.00, 90.00, 90.00 degrees
Atoms (fractional coordinates):
Hf (0.250, 0.250, 0.065)
Hf (0.250, 0.750, 0.565)
Hf (0.750, 0.250, 0.435)
Hf (0.750, 0.750, 0.935)
Ga (0.144, 0.250, 0.352)
Ga (0.356, 0.750, 0.852)
Ga (0.644, 0.250, 0.148)
Ga (0.856, 0.750, 0.648)
Cu (0.059, 0.250, 0.583)
Cu (0.065, 0.507, 0.806)
Cu (0.065, 0.993, 0.806)
Cu (0.094, 0.750, 0.018)
Cu (0.186, 0.750, 0.253)
Cu (0.314, 0.250, 0.753)
Cu (0.406, 0.250, 0.518)
Cu (0.435, 0.007, 0.306)
Cu (0.435, 0.493, 0.306)
Cu (0.441, 0.750, 0.083)
Cu (0.559, 0.250, 0.917)
Cu (0.565, 0.507, 0.694)
Cu (0.565, 0.993, 0.694)
Cu (0.594, 0.750, 0.482)
Cu (0.686, 0.750, 0.247)
Cu (0.814, 0.250, 0.747)
Cu (0.906, 0.250, 0.982)
Cu (0.935, 0.007, 0.194)
Cu (0.935, 0.493, 0.194)
Cu (0.941, 0.750, 0.417)



Record 4
Nd2Zr2Sb2H: simulated powder diffractogram (a wavelength of 1.5418 Å), based on a crystal structure in Alexandria, relaxed with PBE.
Intensities are scaled so that the largest is 100.

Top 8 peaks for 10 to 90 degrees two-theta, low angle first:
2theta, d/Å, I (rel.)
28.8, 3.097, 43
30.7, 2.909, 83
31.7, 2.823, 32
33.4, 2.679, 68
35.9, 2.500, 100
41.2, 2.190, 70
52.9, 1.730, 49
54.1, 1.696, 35

Cell lengths 9.017, 9.017, 9.017 Å; angles 151.89, 151.89, 40.18 degrees
Atoms (fractional coordinates):
Nd (0.177, 0.177, 0.000)
Nd (0.823, 0.823, 0.000)
Zr (0.000, 0.500, 0.500)
Zr (0.500, 0.000, 0.500)
Sb (0.372, 0.372, 0.000)
Sb (0.628, 0.628, 0.000)
H (0.000, 0.000, 0.000)



Which formula does entry 4 have?
Nd2Zr2Sb2H